Entry 1:
This entry pairs a crystal structure of CaZn6Au12 with its computed X-ray powder pattern. Radiation: Cu Ka. Structure: the PBE geometry in Alexandria.
Kinematic intensities with the Lorentz-polarization factor, no thermal factor.

Atomic structure:
```
CaZn6Au12
1.0
5.966 3.445 2.933
-5.966 3.445 2.933
0.000 -6.889 2.933
Ca Zn Au
1 6 12
Cartesian
0.000 0.000 0.000 Ca
0.000 -2.813 3.718 Zn
-2.436 1.406 3.718 Zn
-2.436 -1.406 5.082 Zn
2.436 1.406 3.718 Zn
2.436 -1.406 5.082 Zn
0.000 2.813 5.082 Zn
-2.278 -3.945 4.400 Au
-4.555 0.000 4.400 Au
-1.470 -0.849 2.566 Au
1.470 -0.849 2.566 Au
0.000 1.697 2.566 Au
2.278 -3.945 4.400 Au
-2.278 3.945 4.400 Au
0.000 -1.697 6.234 Au
-1.470 0.849 6.234 Au
1.470 0.849 6.234 Au
4.555 0.000 4.400 Au
2.278 3.945 4.400 Au
```

Largest 10 diffraction maxima, low angle first, 5° ≤ 2θ ≤ 70°:
Position (°2θ)  intensity
21.96  54
32.87  100
34.06  48
39.36  54
39.98  22
40.39  70
43.36  23
44.78  22
48.68  49
63.97  23

Entry 2:
This entry pairs a crystal structure of Dy7Ga2Ir2 with its computed X-ray powder pattern. Radiation: Cu Ka. Structure: the PBE geometry in Alexandria.
Kinematic intensities with the Lorentz-polarization factor, no thermal factor.

Atomic structure:
```
Dy7Ga2Ir2
1.0
3.977 -5.388 0.000
3.977 5.388 0.000
0.000 0.000 6.961
Dy Ga Ir
7 2 2
Cartesian
0.000 0.000 0.000 Dy
1.988 2.694 1.800 Dy
1.988 2.694 5.162 Dy
1.988 -2.694 1.800 Dy
1.988 -2.694 5.162 Dy
3.977 0.000 1.758 Dy
3.977 0.000 5.203 Dy
1.331 0.000 3.481 Ga
6.622 0.000 3.481 Ga
3.977 2.262 0.000 Ir
3.977 -2.262 0.000 Ir
```

Largest 10 diffraction maxima, low angle first, 5° ≤ 2θ ≤ 70°:
Position (°2θ)  intensity
12.72  30
25.80  40
27.88  41
29.21  30
33.26  54
34.24  28
37.72  47
38.21  100
45.62  21
52.59  18

Entry 3:
This entry pairs a crystal structure of NaTl4Ag3Br8 with its computed X-ray powder pattern. Radiation: Cu Ka. Structure: the PBE geometry in Alexandria.
Kinematic intensities with the Lorentz-polarization factor, no thermal factor.

Atomic structure:
```
NaTl4Ag3Br8
1.0
7.620 -4.365 0.000
7.620 4.365 0.000
-5.065 0.000 7.440
Na Tl Ag Br
1 4 3 8
Cartesian
0.000 0.000 0.000 Na
-2.533 0.000 3.720 Tl
1.277 2.182 3.720 Tl
1.277 -2.182 3.720 Tl
5.087 0.000 3.720 Tl
3.810 2.182 0.000 Ag
3.810 -2.182 0.000 Ag
7.620 0.000 0.000 Ag
2.584 0.000 1.563 Br
6.351 2.149 1.567 Br
-0.008 0.000 5.908 Br
3.824 2.149 5.873 Br
6.351 -2.149 1.567 Br
10.183 0.000 1.532 Br
3.824 -2.149 5.873 Br
7.590 0.000 5.877 Br
```

Largest 10 diffraction maxima, low angle first, 5° ≤ 2θ ≤ 70°:
Position (°2θ)  intensity
23.87  20
24.82  11
28.34  51
28.50  100
30.93  19
40.12  53
41.12  39
41.37  19
50.91  20
58.98  13

Copy entry 1 word for word.
This entry pairs a crystal structure of CaZn6Au12 with its computed X-ray powder pattern. Radiation: Cu Ka. Structure: the PBE geometry in Alexandria.
Kinematic intensities with the Lorentz-polarization factor, no thermal factor.

Atomic structure:
```
CaZn6Au12
1.0
5.966 3.445 2.933
-5.966 3.445 2.933
0.000 -6.889 2.933
Ca Zn Au
1 6 12
Cartesian
0.000 0.000 0.000 Ca
0.000 -2.813 3.718 Zn
-2.436 1.406 3.718 Zn
-2.436 -1.406 5.082 Zn
2.436 1.406 3.718 Zn
2.436 -1.406 5.082 Zn
0.000 2.813 5.082 Zn
-2.278 -3.945 4.400 Au
-4.555 0.000 4.400 Au
-1.470 -0.849 2.566 Au
1.470 -0.849 2.566 Au
0.000 1.697 2.566 Au
2.278 -3.945 4.400 Au
-2.278 3.945 4.400 Au
0.000 -1.697 6.234 Au
-1.470 0.849 6.234 Au
1.470 0.849 6.234 Au
4.555 0.000 4.400 Au
2.278 3.945 4.400 Au
```

Largest 10 diffraction maxima, low angle first, 5° ≤ 2θ ≤ 70°:
Position (°2θ)  intensity
21.96  54
32.87  100
34.06  48
39.36  54
39.98  22
40.39  70
43.36  23
44.78  22
48.68  49
63.97  23

Please write out number 3 again, unchanged.
This entry pairs a crystal structure of NaTl4Ag3Br8 with its computed X-ray powder pattern. Radiation: Cu Ka. Structure: the PBE geometry in Alexandria.
Kinematic intensities with the Lorentz-polarization factor, no thermal factor.

Atomic structure:
```
NaTl4Ag3Br8
1.0
7.620 -4.365 0.000
7.620 4.365 0.000
-5.065 0.000 7.440
Na Tl Ag Br
1 4 3 8
Cartesian
0.000 0.000 0.000 Na
-2.533 0.000 3.720 Tl
1.277 2.182 3.720 Tl
1.277 -2.182 3.720 Tl
5.087 0.000 3.720 Tl
3.810 2.182 0.000 Ag
3.810 -2.182 0.000 Ag
7.620 0.000 0.000 Ag
2.584 0.000 1.563 Br
6.351 2.149 1.567 Br
-0.008 0.000 5.908 Br
3.824 2.149 5.873 Br
6.351 -2.149 1.567 Br
10.183 0.000 1.532 Br
3.824 -2.149 5.873 Br
7.590 0.000 5.877 Br
```

Largest 10 diffraction maxima, low angle first, 5° ≤ 2θ ≤ 70°:
Position (°2θ)  intensity
23.87  20
24.82  11
28.34  51
28.50  100
30.93  19
40.12  53
41.12  39
41.37  19
50.91  20
58.98  13

Which formula does entry 2 have?
Dy7Ga2Ir2